Calculated X-ray powder pattern of Mg6FeBO8 for Cu Kα, 1.54184 Å, from a DFT-relaxed cell (PBE+U, Alexandria).

The 10 most intense peaks (10° ≤ 2θ ≤ 90°), most intense first:
hkl 2 0 0, 2θ 41.9, I = 100.0
hkl 2 0 4, 2θ 61.5, I = 39.9
hkl 0 0 4, 2θ 42.9, I = 33.6
hkl 2 2 0, 2θ 60.7, I = 28.1
hkl 1 1 2, 2θ 36.3, I = 27.2
hkl 2 2 4, 2θ 77.2, I = 18.6
hkl 1 0 3, 2θ 38.2, I = 15.3
hkl 0 0 3, 2θ 31.8, I = 10.8
hkl 3 1 2, 2θ 72.9, I = 9.8
hkl 1 0 1, 2θ 23.2, I = 8.6

```
16
Lattice="4.314 0.000 0.000 0.000 4.314 0.000 0.000 0.000 8.441" Properties=species:S:1:pos:R:3 pbc="T T T"
Mg 0.000 0.000 0.000
Mg 0.000 0.000 4.221
Mg 0.000 2.157 2.004
Mg 0.000 2.157 6.438
Mg 2.157 0.000 2.004
Mg 2.157 0.000 6.438
Fe 2.157 2.157 4.221
B 2.157 2.157 0.000
O 0.000 0.000 2.110
O 0.000 0.000 6.331
O 0.000 2.157 0.000
O 0.000 2.157 4.221
O 2.157 0.000 0.000
O 2.157 0.000 4.221
O 2.157 2.157 1.413
O 2.157 2.157 7.028
```